Starting from the PBE+U geometry in Alexandria, the X-ray diffraction stick pattern of TiCoTcO6 was calculated for copper Kα.
Lines closer than 0.1° are merged.

Main lines, low angle first (2θ = 15–90°):
hkl 0 0 2, 19.9°, intensity 204
hkl 1 0 1, 22.7°, intensity 207
hkl 1 0 2, 28.6°, intensity 1000
hkl 1 1 0, 35.7°, intensity 378
hkl 1 1 2, 41.2°, intensity 259
hkl 2 0 2, 46.3°, intensity 247
hkl 1 1 4, 55.0°, intensity 503
hkl 2 1 2, 59.8°, intensity 223
hkl 3 0 0, 64.1°, intensity 201
hkl 1 0 6, 66.4°, intensity 78
hkl 4 -1 2, 82.7°, intensity 84
hkl 4 -2 4, 89.3°, intensity 113

Crystal structure
Cell: 5.035 5.035 8.928 Å, 90.00 90.00 120.00°
Fractional positions:
Ti1 0.333 0.667 0.250
Ti2 0.667 0.333 0.750
Co1 0.000 0.000 0.000
Co2 0.000 0.000 0.500
Tc1 0.333 0.667 0.750
Tc2 0.667 0.333 0.250
O1 0.005 0.349 0.632
O2 0.005 0.656 0.868
O3 0.344 0.349 0.868
O4 0.344 0.995 0.632
O5 0.349 0.005 0.132
O6 0.349 0.344 0.368
O7 0.651 0.656 0.632
O8 0.651 0.995 0.868
O9 0.656 0.005 0.368
O10 0.656 0.651 0.132
O11 0.995 0.344 0.132
O12 0.995 0.651 0.368